For TbV3O9, a DFT-relaxed cell (GGA+U, Alexandria) gives the theoretical powder XRD pattern in this record (λ = 1.5418 Å (Cu Kα)).
Kinematic intensities with the Lorentz-polarization factor, no thermal factor.

Crystal structure
```
TbV3O9
1.0
4.4630 -5.9304 0.0000
4.4630 5.9304 0.0000
0.0000 0.0000 7.6162
Tb V O
2 6 18
Cartesian
0.9128 0.0000 0.0000
8.0131 0.0000 3.8081
2.2616 0.0000 3.8081
4.1773 2.1300 7.3869
4.7486 2.1300 4.0374
4.1773 -2.1300 0.2293
4.7486 -2.1300 3.5788
6.6644 0.0000 0.0000
1.2457 0.2262 5.1693
1.2457 -0.2262 2.4470
4.3285 3.7994 7.5022
2.6759 1.5015 0.2373
4.5975 3.7994 3.9221
3.3321 1.3251 3.2511
4.4630 1.6063 5.7122
2.6759 -1.5015 7.3789
3.3321 -1.3251 4.3651
5.5939 1.3251 0.5570
6.2501 1.5015 3.5708
4.4630 -1.6063 1.9041
5.5939 -1.3251 7.0593
4.3285 -3.7994 0.1140
6.2501 -1.5015 4.0454
4.5975 -3.7994 3.6941
7.6803 0.2262 6.2551
7.6803 -0.2262 1.3611
```

Most intense lines, 2θ from 10° to 80°, sorted by position:
two_theta  I/Imax
12.41  41
14.94  56
23.36  100
24.63  84
27.62  65
33.20  45
34.20  34
47.73  35